Structure and theoretical powder diffractogram of Li14Co2S9 (a DFT-relaxed cell (PBE, the Materials Project); Cu Kα X-rays).
Neutral-atom scattering factors, no anomalous dispersion.

Most intense lines, 10 to 80 degrees two-theta, by angle:
| two_theta | d [Å] | I/Imax | index |
| --- | --- | --- | --- |
| 17.2 | 5.148 | 100 | 0 1 1 |
| 27.1 | 3.290 | 80 | 2 -1 1 |
| 27.3 | 3.267 | 30 | 0 0 3 |
| 40.5 | 2.227 | 17 | 3 -2 1 |
| 45.0 | 2.017 | 47 | 3 0 0 |
| 45.2 | 2.006 | 51 | 2 -1 4 |
| 53.4 | 1.716 | 19 | 0 3 3 |
| 65.6 | 1.422 | 14 | 2 2 4 |

Cell and atoms:
Cell: 6.9856 6.9856 9.8019 Å, 90.00 90.00 120.00°
Space group P-3 (No. 147)
Inequivalent atoms, fractional coordinates:
1 Li 0.0000 0.0000 0.2497 [2 per cell]
2 Li 0.0190 0.6724 0.4100 [6 per cell]
3 Li 0.0418 0.3661 0.0915 [6 per cell]
4 Co 0.3333 0.6667 0.7558 [2 per cell]
5 S 0.0000 0.0000 0.5000 [1 per cell]
6 S 0.0365 0.3449 0.8376 [6 per cell]
7 S 0.3333 0.6667 0.5209 [2 per cell]



Structure and theoretical powder diffractogram of Sm2Ge3 (a DFT-relaxed cell (PBE, the Materials Project); Cu Kα X-rays).
Neutral-atom scattering factors, no anomalous dispersion.

Most intense lines, 10 to 80 degrees two-theta, by angle:
| two_theta | d [Å] | I/Imax | index |
| --- | --- | --- | --- |
| 23.2 | 3.840 | 31 | 1 0 0 |
| 26.2 | 3.397 | 11 | 1 0 1 |
| 33.9 | 2.642 | 100 | 1 0 2 |
| 40.7 | 2.217 | 50 | 1 1 0 |
| 54.0 | 1.698 | 26 | 2 0 2 |
| 66.4 | 1.407 | 20 | 1 1 4 |
| 69.7 | 1.348 | 24 | 2 1 2 |
| 74.1 | 1.280 | 8 | 3 0 0 |

Cell and atoms:
Cell: 4.4344 4.4344 7.2831 Å, 90.00 90.00 120.00°
Space group P-6m2 (No. 187)
Inequivalent atoms, fractional coordinates:
1 Sm 0.0000 0.0000 0.2306 [2 per cell]
2 Ge 0.3333 0.6667 0.5000 [1 per cell]
3 Ge 0.6667 0.3333 0.0000 [1 per cell]
4 Ge 0.6667 0.3333 0.5000 [1 per cell]